Diffraction record for In2NiOs. The XRD peak list is computed, not measured: it uses DFT lattice parameters and positions (PBE) and Cu Kα.

Cell and atoms:
```
In2NiOs
1.0
3.036 0.000 0.000
0.000 3.036 0.000
0.000 0.000 7.804
In Ni Os
2 1 1
direct
0.000 0.000 0.000 In
0.500 0.500 0.359 In
0.000 0.000 0.583 Ni
0.500 0.500 0.753 Os
```

The 10 most intense peaks (2θ from 5° to 70°), in order of rising 2θ:
2θ = 11.3°, intensity 44, hkl 0 0 1; 2θ = 29.4°, intensity 9, hkl 1 0 0; 2θ = 31.6°, intensity 21, hkl 1 0 1; 2θ = 34.5°, intensity 15, hkl 0 0 3; 2θ = 37.5°, intensity 100, hkl 1 0 2; 2θ = 42.1°, intensity 53, hkl 1 1 0; 2θ = 45.9°, intensity 33, hkl 1 0 3; 2θ = 55.5°, intensity 15, hkl 1 1 3; 2θ = 61.0°, intensity 17, hkl 2 0 0; 2θ = 67.5°, intensity 9, hkl 1 0 5

=====

Diffraction record for PaInTcNi. The XRD peak list is computed, not measured: it uses DFT lattice parameters and positions (PBE) and Cu Kα.

Cell and atoms:
```
PaInTcNi
1.0
6.657 0.000 0.000
0.000 6.657 0.000
0.000 0.000 6.657
Pa In Tc Ni
4 4 4 4
direct
0.000 0.000 0.000 Pa
0.000 0.500 0.500 Pa
0.500 0.000 0.500 Pa
0.500 0.500 0.000 Pa
0.000 0.000 0.500 In
0.000 0.500 0.000 In
0.500 0.000 0.000 In
0.500 0.500 0.500 In
0.250 0.250 0.250 Tc
0.250 0.750 0.750 Tc
0.750 0.250 0.750 Tc
0.750 0.750 0.250 Tc
0.250 0.250 0.750 Ni
0.250 0.750 0.250 Ni
0.750 0.250 0.250 Ni
0.750 0.750 0.750 Ni
```

The 9 most intense peaks (2θ from 5° to 70°), in order of rising 2θ:
2θ = 23.1°, intensity 12, hkl 1 1 1; 2θ = 26.8°, intensity 15, hkl 2 0 0; 2θ = 38.2°, intensity 100, hkl 2 2 0; 2θ = 45.2°, intensity 7, hkl 3 1 1; 2θ = 47.3°, intensity 5, hkl 2 2 2; 2θ = 55.2°, intensity 17, hkl 4 0 0; 2θ = 60.6°, intensity 3, hkl 3 3 1; 2θ = 62.4°, intensity 6, hkl 4 2 0; 2θ = 69.1°, intensity 34, hkl 4 2 2